Diffraction record for Fe5OF11. The powder XRD pattern is calculated, not measured: it uses a DFT-relaxed cell (PBE+U, Alexandria) and Cu Kα, 1.54184 Å.
Kinematic intensities with the Lorentz-polarization factor, no thermal factor.

Atomic structure:
Lattice parameters (Å, degrees): 5.307 5.712 9.374 72.27 74.98 64.41
Sites, in units of the cell vectors:
Fe 0.000 0.000 0.000
Fe 0.026 0.656 0.322
Fe 0.260 0.934 0.597
Fe 0.497 0.151 0.827
Fe 0.548 0.414 0.496
O 0.477 0.119 0.630
F 0.036 0.019 0.189
F 0.082 0.309 0.894
F 0.139 0.694 0.521
F 0.422 0.832 0.930
F 0.444 0.420 0.314
F 0.519 0.505 0.699
F 0.585 0.199 0.001
F 0.608 0.765 0.412
F 0.938 0.975 0.798
F 0.963 0.272 0.462
F 0.966 0.681 0.103

Principal peaks in the range 5° ≤ 2θ ≤ 70°, by intensity:
hkl 0 1 1, 2θ = 18.28°, d = 4.852 Å, rel. 100; hkl 2 0 0, 2θ = 38.02°, d = 2.367 Å, rel. 62; hkl 1 1 4, 2θ = 39.15°, d = 2.301 Å, rel. 37; hkl 1 0 -1, 2θ = 22.59°, d = 3.935 Å, rel. 35; hkl 1 0 1, 2θ = 19.92°, d = 4.456 Å, rel. 35; hkl 0 0 1, 2θ = 10.02°, d = 8.830 Å, rel. 31; hkl 0 1 -1, 2θ = 22.21°, d = 4.003 Å, rel. 29; hkl 1 2 5, 2θ = 52.07°, d = 1.756 Å, rel. 28; hkl 1 1 2, 2θ = 23.39°, d = 3.803 Å, rel. 27; hkl 1 1 0, 2θ = 20.25°, d = 4.386 Å, rel. 27